# Lu3Ga5Co
Simulated powder diffractogram, λ = 1.5418 Å (Cu Kα). Input: a DFT-relaxed cell (PBE, Alexandria).
Kinematic intensities with the Lorentz-polarization factor, no thermal factor.

Crystal structure
a b c (Å): 6.7748 6.7748 4.1800
angles (deg): 90.00 90.00 120.00
Space group P-62m (No. 189)
One atom of each set of equivalent atoms:
1 Lu 0.0000 0.5964 0.0000 x3
2 Ga 0.0000 0.2326 0.5000 x3
3 Ga 0.3333 0.6667 0.5000 x2
4 Co 0.0000 0.0000 0.0000 x1

The 6 most intense peaks (2θ from 5° to 70°), in order of rising 2θ:
- 2θ 34.07, rel. 100.0, hkl 1 1 1
- 2θ 37.45, rel. 63.9, hkl 2 0 1
- 2θ 40.69, rel. 34.7, hkl 2 1 0
- 2θ 43.29, rel. 25.4, hkl 0 0 2
- 2θ 46.40, rel. 27.5, hkl 3 0 0
- 2θ 61.11, rel. 24.1, hkl 3 1 1

***

# La6Si3S14
Simulated powder diffractogram, λ = 1.5418 Å (Cu Kα). Input: a DFT-relaxed cell (PBE, Alexandria).
Kinematic intensities with the Lorentz-polarization factor, no thermal factor.

Crystal structure
a b c (Å): 10.4032 10.4032 5.8068
angles (deg): 90.00 90.00 120.00
Space group P3 (No. 143)
One atom of each set of equivalent atoms:
1 La 0.0316 0.5746 0.0000 x3
2 La 0.3173 0.1034 0.5142 x3
3 Si 0.0000 0.0000 0.9287 x1
4 Si 0.3333 0.6667 0.4138 x1
5 Si 0.6667 0.3333 0.2331 x1
6 S 0.0000 0.0000 0.2912 x1
7 S 0.0756 0.8594 0.7838 x3
8 S 0.1878 0.4499 0.2735 x3
9 S 0.3333 0.6667 0.7782 x1
10 S 0.4322 0.1786 0.0291 x3
11 S 0.4908 0.4205 0.5187 x3

The 6 most intense peaks (2θ from 5° to 70°), in order of rising 2θ:
- 2θ 19.71, rel. 35.2, hkl 2 0 0
- 2θ 22.95, rel. 49.2, hkl 2 -1 1
- 2θ 25.02, rel. 100.0, hkl 0 2 1
- 2θ 35.94, rel. 57.1, hkl 1 3 0
- 2θ 39.25, rel. 57.4, hkl 3 1 1
- 2θ 40.84, rel. 40.5, hkl 1 2 2

***

# Mg3CdHg3
Simulated powder diffractogram, λ = 1.5418 Å (Cu Kα). Input: a DFT-relaxed cell (PBE, Alexandria).
Kinematic intensities with the Lorentz-polarization factor, no thermal factor.

Crystal structure
a b c (Å): 9.611 9.899 6.661
angles (deg): 90.00 90.03 90.00
Space group C2/m (No. 12)
One atom of each set of equivalent atoms:
1 Mg 0.000 0.000 0.247 x4
2 Mg 0.250 0.249 0.251 x8
3 Cd 0.173 0.500 0.002 x4
4 Hg 0.000 0.243 0.000 x4
5 Hg 0.000 0.303 0.500 x4
6 Hg 0.250 0.000 0.502 x4

The 6 most intense peaks (2θ from 5° to 70°), in order of rising 2θ:
- 2θ 25.84, rel. 78.6, hkl 2 2 0
- 2θ 26.77, rel. 49.6, hkl 0 0 2
- 2θ 31.66, rel. 19.6, hkl 1 3 -1
- 2θ 36.30, rel. 22.7, hkl 0 4 0
- 2θ 37.43, rel. 20.9, hkl 4 0 0
- 2θ 37.55, rel. 100.0, hkl 2 2 2

***

# Ni
Simulated powder diffractogram, λ = 1.5418 Å (Cu Kα). Input: a DFT-relaxed cell (PBE, Alexandria).
Kinematic intensities with the Lorentz-polarization factor, no thermal factor.

Crystal structure
a b c (Å): 2.943 2.943 2.540
angles (deg): 90.00 90.00 90.00
Space group I4/mmm (No. 139)
One atom of each set of equivalent atoms:
1 Ni 0.000 0.000 0.000 x2

The 3 most intense peaks (2θ from 5° to 70°), in order of rising 2θ:
- 2θ 43.49, rel. 64.6, hkl 1 1 0
- 2θ 47.27, rel. 100.0, hkl 1 0 1
- 2θ 63.19, rel. 19.5, hkl 2 0 0